Entry 1:
This entry pairs a crystal structure of AgSb2 with its theoretical powder diffraction line list. Radiation: CuKα. Structure: a DFT-relaxed cell (GGA-PBE, Alexandria).

Atomic structure:
abc: 8.0163 8.0163 4.1218
angles: 90.00 90.00 120.00
Space group P-62m (No. 189)
Inequivalent atoms, fractional coordinates:
Ag: 0.0000 0.0000 0.0000 (multiplicity 1)
Ag: 0.3333 0.6667 0.5000 (multiplicity 2)
Sb: 0.0000 0.2757 0.5000 (multiplicity 3)
Sb: 0.0000 0.5495 0.0000 (multiplicity 3)

Most intense lines, 5 to 70 degrees two-theta, sorted by position:
| Position (°2θ) | I_rel |
| --- | --- |
| 25.66 | 10.5 |
| 31.12 | 54.4 |
| 33.76 | 100.0 |
| 34.17 | 29.5 |
| 38.92 | 23.8 |
| 40.76 | 13.6 |
| 43.93 | 21.1 |
| 44.92 | 14.3 |
| 45.25 | 10.6 |
| 56.80 | 13.4 |
| 60.12 | 12.7 |
| 62.52 | 19.7 |

Entry 2:
This entry pairs a crystal structure of Tl3TcBr6 with its theoretical powder diffraction line list. Radiation: CuKα. Structure: a DFT-relaxed cell (GGA-PBE, Alexandria).

Atomic structure:
abc: 9.380 11.496 13.763
angles: 90.00 90.00 90.00
Space group Fmmm (No. 69)
Inequivalent atoms, fractional coordinates:
Tl: 0.000 0.000 0.000 (multiplicity 4)
Tl: 0.250 0.250 0.250 (multiplicity 8)
Tc: 0.000 0.000 0.500 (multiplicity 4)
Br: 0.000 0.223 0.500 (multiplicity 8)
Br: 0.192 0.000 0.369 (multiplicity 16)

Most intense lines, 5 to 70 degrees two-theta, sorted by position:
| Position (°2θ) | I_rel |
| --- | --- |
| 20.13 | 43.4 |
| 22.95 | 100.0 |
| 25.90 | 14.5 |
| 30.29 | 28.9 |
| 31.12 | 37.5 |
| 35.94 | 47.4 |
| 39.02 | 43.6 |
| 43.94 | 14.3 |
| 46.88 | 15.7 |
| 54.82 | 16.6 |
| 58.54 | 19.6 |
| 69.81 | 15.2 |